# SnHg2O3
Computed X-ray powder pattern, copper Kα. Input: DFT lattice parameters and positions (PBE).
Lines closer than 0.1° are merged.

Crystal structure
```
data_SnHg2O3
_cell_length_a 11.1534
_cell_length_b 5.9493
_cell_length_c 3.1448
_cell_angle_alpha 90.00
_cell_angle_beta 90.00
_cell_angle_gamma 90.00
_symmetry_space_group_name_H-M 'P m a 2'
_symmetry_Int_Tables_number 28
loop_
_symmetry_equiv_pos_as_xyz
'x,y,z'
'-x,-y,z'
'-x+1/2,y,z'
'x+1/2,-y,z'
loop_
_atom_site_label
_atom_site_fract_x
_atom_site_fract_y
_atom_site_fract_z
Sn1 0.2500 0.0580 0.0000
Hg1 0.0788 0.6646 0.4987
O1 0.1292 0.0913 0.4998
O2 0.2500 0.7157 0.9958
```

Top 12 peaks for 5° ≤ 2θ ≤ 70°, by angle:
- hkl 1 1 0, d 5.249, rel. 30
- hkl 2 1 0, d 4.069, rel. 55
- hkl 3 1 0, d 3.151, rel. 100
- hkl 1 2 0, d 2.874, rel. 36
- hkl 0 1 1, d 2.780, rel. 35
- hkl 2 0 1, d 2.739, rel. 52
- hkl 1 1 1, d 2.698, rel. 24
- hkl 3 2 0, d 2.323, rel. 21
- hkl 3 1 1, d 2.227, rel. 42
- hkl 4 0 1, d 2.087, rel. 28
- hkl 3 2 1, d 1.868, rel. 60
- hkl 6 0 0, d 1.859, rel. 19